Entry 1:
MgSb2As2Pd7: computed PXRD pattern (λ = 1.5418 Å (Cu Kα)), based on a cell relaxed with GGA-PBE.
Neutral-atom scattering factors, no anomalous dispersion.

Principal peaks in the range 15 to 90 degrees two-theta, by angle:
2θ/deg	I/Imax
22.83	42
23.39	35
32.79	100
36.91	63
40.21	40
44.16	96
46.24	97
48.63	36
63.90	26
67.46	30

Unit cell a=3.9269 b=3.9269 c=15.4591 alpha=97.23 beta=97.23 gamma=89.98
Sites, in units of the cell vectors:
Mg 0.0000 0.0000 0.0000
Sb 0.2119 0.2119 0.4260
Sb 0.7881 0.7881 0.5740
As 0.3853 0.3853 0.7671
As 0.6147 0.6147 0.2329
Pd 0.0665 0.5662 0.1359
Pd 0.3025 0.3025 0.6038
Pd 0.4338 0.9335 0.8641
Pd 0.5000 0.5000 0.0000
Pd 0.5662 0.0665 0.1359
Pd 0.6975 0.6975 0.3962
Pd 0.9335 0.4338 0.8641

Entry 2:
SrMgAs2Pd5: computed PXRD pattern (λ = 1.5418 Å (Cu Kα)), based on a cell relaxed with GGA-PBE.
Neutral-atom scattering factors, no anomalous dispersion.

Principal peaks in the range 15 to 90 degrees two-theta, by angle:
2θ/deg	I/Imax
18.56	21
28.58	70
32.87	56
34.43	44
37.64	100
50.82	65
52.31	23
54.29	34
62.50	16
64.94	31

Unit cell a=4.7795 b=4.7795 c=8.1745 alpha=90.00 beta=90.00 gamma=90.00
Sites, in units of the cell vectors:
Sr 0.0000 0.0000 0.0000
Mg 0.0000 0.0000 0.5000
As 0.5000 0.5000 0.2935
As 0.5000 0.5000 0.7065
Pd 0.0000 0.5000 0.3269
Pd 0.0000 0.5000 0.6731
Pd 0.5000 0.0000 0.3269
Pd 0.5000 0.0000 0.6731
Pd 0.5000 0.5000 0.0000

Entry 3:
Pm3MgAs4: computed PXRD pattern (λ = 1.5418 Å (Cu Kα)), based on a cell relaxed with GGA-PBE.
Neutral-atom scattering factors, no anomalous dispersion.

Principal peaks in the range 15 to 90 degrees two-theta, by angle:
2θ/deg	I/Imax
21.16	12
25.99	8
30.09	100
33.75	7
37.08	6
43.08	75
53.44	26
62.56	12
70.97	34
78.98	25

Unit cell a=5.9391 b=5.9391 c=5.9391 alpha=90.00 beta=90.00 gamma=90.00
Sites, in units of the cell vectors:
Pm 0.0000 0.0000 0.5000
Pm 0.0000 0.5000 0.0000
Pm 0.5000 0.0000 0.0000
Mg 0.5000 0.5000 0.5000
As 0.0000 0.0000 0.0000
As 0.0000 0.5000 0.5000
As 0.5000 0.0000 0.5000
As 0.5000 0.5000 0.0000

Entry 4:
RbMg4As3: computed PXRD pattern (λ = 1.5418 Å (Cu Kα)), based on a cell relaxed with GGA-PBE.
Neutral-atom scattering factors, no anomalous dispersion.

Principal peaks in the range 15 to 90 degrees two-theta, by angle:
2θ/deg	I/Imax
24.99	100
28.77	16
30.09	30
33.45	13
39.18	19
40.51	57
48.19	16
50.45	19
55.43	12
64.73	13

Unit cell a=12.6759 b=12.6759 c=12.6759 alpha=20.23 beta=20.23 gamma=20.23
Sites, in units of the cell vectors:
Rb 0.0000 0.0000 0.0000
Mg 0.1967 0.1967 0.1967
Mg 0.4161 0.4161 0.4161
Mg 0.5839 0.5839 0.5839
Mg 0.8033 0.8033 0.8033
As 0.2658 0.2658 0.2658
As 0.5000 0.5000 0.5000
As 0.7342 0.7342 0.7342

Entry 5:
Rb2MgAs2: computed PXRD pattern (λ = 1.5418 Å (Cu Kα)), based on a cell relaxed with GGA-PBE.
Neutral-atom scattering factors, no anomalous dispersion.

Principal peaks in the range 15 to 90 degrees two-theta, by angle:
2θ/deg	I/Imax
17.37	16
29.12	15
30.80	30
31.70	100
39.46	17
50.87	16
54.74	7
55.34	20
63.34	6
72.32	8

Unit cell a=7.2215 b=7.2215 c=5.8062 alpha=90.00 beta=90.00 gamma=90.00
Sites, in units of the cell vectors:
Rb 0.1701 0.3299 0.0000
Rb 0.3299 0.8299 0.0000
Rb 0.6701 0.1701 0.0000
Rb 0.8299 0.6701 0.0000
Mg 0.0000 0.0000 0.5000
Mg 0.5000 0.5000 0.5000
As 0.1258 0.6258 0.5000
As 0.3742 0.1258 0.5000
As 0.6258 0.8742 0.5000
As 0.8742 0.3742 0.5000

Entry 6:
RbMg2SiAs: computed PXRD pattern (λ = 1.5418 Å (Cu Kα)), based on a cell relaxed with GGA-PBE.
Neutral-atom scattering factors, no anomalous dispersion.

Principal peaks in the range 15 to 90 degrees two-theta, by angle:
2θ/deg	I/Imax
23.62	100
29.03	17
33.65	64
41.52	45
48.32	45
54.45	13
54.50	7
60.17	15
65.56	23
80.70	13

Unit cell a=5.3241 b=5.3241 c=5.3344 alpha=90.00 beta=90.00 gamma=90.00
Sites, in units of the cell vectors:
Rb 0.0000 0.0000 0.0000
Mg 0.0000 0.5000 0.5000
Mg 0.5000 0.0000 0.5000
Si 0.5000 0.5000 0.0000
As 0.5000 0.5000 0.5000

Entry 7:
Mg2As2Rh3: computed PXRD pattern (λ = 1.5418 Å (Cu Kα)), based on a cell relaxed with GGA-PBE.
Neutral-atom scattering factors, no anomalous dispersion.

Principal peaks in the range 15 to 90 degrees two-theta, by angle:
2θ/deg	I/Imax
25.25	37
29.29	37
38.27	84
41.50	62
41.66	100
41.85	99
41.96	61
42.13	61
42.30	96
60.75	60

Unit cell a=4.2735 b=4.3182 c=7.4583 alpha=106.33 beta=90.26 gamma=119.37
Sites, in units of the cell vectors:
Mg 0.1313 0.2618 0.3913
Mg 0.8687 0.7382 0.6087
As 0.3950 0.7940 0.1779
As 0.6050 0.2060 0.8221
Rh 0.0000 0.0000 0.0000
Rh 0.2629 0.5241 0.7928
Rh 0.7371 0.4759 0.2072

Entry 8:
Mg2As3Rh5: computed PXRD pattern (λ = 1.5418 Å (Cu Kα)), based on a cell relaxed with GGA-PBE.
Neutral-atom scattering factors, no anomalous dispersion.

Principal peaks in the range 15 to 90 degrees two-theta, by angle:
2θ/deg	I/Imax
20.19	29
24.39	22
36.44	45
36.92	50
38.32	79
39.08	34
44.75	100
45.45	27
46.64	27
49.47	48

Unit cell a=12.7733 b=12.7733 c=6.1361 alpha=90.00 beta=90.00 gamma=161.75
Sites, in units of the cell vectors:
Mg 0.0133 0.9867 0.5000
Mg 0.3333 0.6667 0.4381
Mg 0.6667 0.3333 0.9381
Mg 0.9867 0.0133 0.0000
As 0.1068 0.8932 0.7143
As 0.2821 0.7179 0.8807
As 0.4552 0.5448 0.7164
As 0.5448 0.4552 0.2164
As 0.7179 0.2821 0.3807
As 0.8932 0.1068 0.2143
Rh 0.0970 0.9030 0.1240
Rh 0.2018 0.7982 0.6347
Rh 0.2153 0.7847 0.1578
Rh 0.3757 0.6243 0.9588
Rh 0.4475 0.5525 0.3220
Rh 0.5525 0.4475 0.8220
Rh 0.6243 0.3757 0.4588
Rh 0.7847 0.2153 0.6578
Rh 0.7982 0.2018 0.1347
Rh 0.9030 0.0970 0.6240

Entry 9:
MgAsRu4: computed PXRD pattern (λ = 1.5418 Å (Cu Kα)), based on a cell relaxed with GGA-PBE.
Neutral-atom scattering factors, no anomalous dispersion.

Principal peaks in the range 15 to 90 degrees two-theta, by angle:
2θ/deg	I/Imax
21.06	47
34.72	11
40.96	100
42.87	64
49.92	17
54.75	10
66.48	31
73.27	29
87.54	11
88.81	23

Unit cell a=5.1676 b=5.1676 c=5.1676 alpha=60.00 beta=60.00 gamma=60.00
Sites, in units of the cell vectors:
Mg 0.0000 0.0000 0.0000
As 0.2500 0.2500 0.2500
Ru 0.1263 0.6246 0.6246
Ru 0.6246 0.1263 0.6246
Ru 0.6246 0.6246 0.1263
Ru 0.6246 0.6246 0.6246

Entry 10:
MgAsSe2S: computed PXRD pattern (λ = 1.5418 Å (Cu Kα)), based on a cell relaxed with GGA-PBE.
Neutral-atom scattering factors, no anomalous dispersion.

Principal peaks in the range 15 to 90 degrees two-theta, by angle:
2θ/deg	I/Imax
18.22	45
31.83	100
36.92	83
41.47	20
53.21	56
56.72	10
63.35	41
66.52	19
78.59	9
87.28	17

Unit cell a=4.8691 b=4.8691 c=4.8693 alpha=90.00 beta=90.00 gamma=90.00
Sites, in units of the cell vectors:
Mg 0.0000 0.0000 0.0000
As 0.5000 0.5000 0.0000
Se 0.0000 0.5000 0.5000
Se 0.5000 0.0000 0.5000
S 0.5000 0.5000 0.5000

Entry 11:
YMg2AsS: computed PXRD pattern (λ = 1.5418 Å (Cu Kα)), based on a cell relaxed with GGA-PBE.
Neutral-atom scattering factors, no anomalous dispersion.

Principal peaks in the range 15 to 90 degrees two-theta, by angle:
2θ/deg	I/Imax
20.31	86
22.96	99
28.87	100
36.16	27
37.21	57
41.29	37
41.82	25
46.91	50
56.03	29
79.29	20

Unit cell a=6.1847 b=6.1847 c=4.9684 alpha=90.00 beta=90.00 gamma=90.00
Sites, in units of the cell vectors:
Y 0.0000 0.0000 0.0000
Mg 0.0000 0.5000 0.0000
Mg 0.5000 0.0000 0.0000
As 0.5000 0.5000 0.5000
S 0.0000 0.0000 0.5000

Entry 12:
MgAsSe: computed PXRD pattern (λ = 1.5418 Å (Cu Kα)), based on a cell relaxed with GGA-PBE.
Neutral-atom scattering factors, no anomalous dispersion.

Principal peaks in the range 15 to 90 degrees two-theta, by angle:
2θ/deg	I/Imax
26.16	100
33.62	26
35.31	93
35.52	79
49.55	35
49.71	52
50.80	32
58.03	21
63.52	28
73.82	31

Unit cell a=5.9066 b=5.9066 c=5.9066 alpha=144.57 beta=144.57 gamma=50.97
Sites, in units of the cell vectors:
Mg 0.0000 0.0000 0.0000
As 0.3776 0.3776 0.0000
Se 0.6130 0.6130 0.0000